# RbEu2Cl5
Theoretical powder X-ray diffraction pattern, Cu Kα, 1.54184 Å. Input: a GGA-PBE-relaxed structure.

Structural model:
```
RbEu2Cl5
1.0
8.9964 0.0000 0.0000
0.0000 7.9780 0.0000
-0.0584 0.0000 12.8330
Rb Eu Cl
4 8 20
Direct
0.0041 0.0370 0.3292
0.0041 0.4630 0.8292
0.9959 0.5370 0.1708
0.9959 0.9630 0.6708
0.2551 0.5672 0.4940
0.2551 0.9328 0.9940
0.4994 0.5210 0.1780
0.4994 0.9790 0.6780
0.5006 0.0210 0.3220
0.5006 0.4790 0.8220
0.7449 0.0672 0.0060
0.7449 0.4328 0.5060
0.0328 0.1619 0.0842
0.0328 0.3381 0.5842
0.2797 0.6941 0.7129
0.2797 0.8059 0.2129
0.2906 0.1663 0.8176
0.2906 0.3337 0.3176
0.2907 0.5523 0.9961
0.2907 0.9477 0.4961
0.4602 0.1591 0.1023
0.4602 0.3409 0.6023
0.5398 0.6591 0.3977
0.5398 0.8409 0.8977
0.7093 0.0523 0.5039
0.7093 0.4477 0.0039
0.7094 0.6663 0.6824
0.7094 0.8337 0.1824
0.7203 0.1941 0.7871
0.7203 0.3059 0.2871
0.9672 0.6619 0.4158
0.9672 0.8381 0.9158
```

Most intense lines, 2θ from 10° to 80°, in order of rising 2θ:
- 2θ = 22.29°, I 48, (0 2 0)
- 2θ = 23.60°, I 100, (0 1 3)
- 2θ = 23.74°, I 82, (2 1 1)
- 2θ = 24.11°, I 32, (2 0 -2)
- 2θ = 33.06°, I 45, (2 2 -2)
- 2θ = 33.14°, I 42, (2 2 2)
- 2θ = 40.08°, I 43, (4 0 0)
- 2θ = 42.20°, I 42, (0 0 6)